Starting from a GGA-PBE-relaxed structure, the PXRD pattern of B2W4N5 was calculated for Cu Kα X-rays.

Peak list (10 most intense, 2θ from 15° to 90°, in order of rising 2θ)
2theta, I_rel, hkl
33.26, 39, 1 0 1
34.71, 25, 0 0 5
35.43, 100, 1 0 2
38.81, 57, 0 1 3
43.16, 79, 0 1 4
58.01, 38, 1 1 0
60.36, 19, 1 0 7
69.40, 21, 1 1 5
69.84, 15, 0 2 2
74.98, 15, 2 0 4

Structural model:
```
data_B2W4N5
_chemical_formula_sum 'B2 W4 N5'
_space_group_name_H-M_alt 'P -3 m 1'
_space_group_IT_number 164
_space_group_name_Hall '-P 3 2"'
_cell_length_a 3.1800
_cell_length_b 3.1800
_cell_length_c 12.9223
_cell_angle_alpha 90.00
_cell_angle_beta 90.00
_cell_angle_gamma 120.00
loop_
_atom_site_label
_atom_site_type_symbol
_atom_site_fract_x
_atom_site_fract_y
_atom_site_fract_z
B1 B 0.3333 0.6667 0.4693
W1 W 0.0000 0.0000 0.2708
W2 W 0.3333 0.6667 0.1100
N1 N 0.0000 0.0000 0.0000
N2 N 0.3333 0.6667 0.3546
N3 N 0.3333 0.6667 0.8287
```

Starting from a GGA-PBE-relaxed structure, the PXRD pattern of Mg2Sc2ZnCdCu2 was calculated for Cu Kα X-rays.

Peak list (10 most intense, 2θ from 15° to 90°, in order of rising 2θ)
2theta, I_rel, hkl
27.01, 10, 0 0 2
27.18, 20, 1 1 0
38.69, 100, 1 1 2
38.81, 50, 2 0 0
47.92, 9, 2 0 2
55.68, 8, 0 0 4
56.05, 16, 2 2 0
69.94, 15, 2 0 4
70.19, 31, 3 1 2
82.98, 9, 2 2 4

Structural model:
```
data_Mg2Sc2ZnCdCu2
_chemical_formula_sum 'Mg2 Sc2 Zn1 Cd1 Cu2'
_space_group_name_H-M_alt 'P -4 m 2'
_space_group_IT_number 115
_cell_length_a 4.640
_cell_length_b 4.640
_cell_length_c 6.603
_cell_angle_alpha 90.00
_cell_angle_beta 90.00
_cell_angle_gamma 90.00
loop_
_space_group_symop_operation_xyz
'x,y,z'
'y,-x,-z'
'-x,-y,z'
'-y,x,-z'
'-x,y,z'
'-y,-x,-z'
'x,-y,z'
'y,x,-z'
loop_
_atom_site_label
_atom_site_type_symbol
_atom_site_fract_x
_atom_site_fract_y
_atom_site_fract_z
Mg1 Mg 0.000 0.500 0.243
Sc1 Sc 0.000 0.500 0.763
Zn1 Zn 0.500 0.500 0.000
Cd1 Cd 0.000 0.000 0.500
Cu1 Cu 0.000 0.000 0.000
Cu2 Cu 0.500 0.500 0.500
```

Starting from a GGA-PBE-relaxed structure, the PXRD pattern of BaSrSi2Pd was calculated for Cu Kα X-rays.

Peak list (10 most intense, 2θ from 15° to 90°, in order of rising 2θ)
2theta, I_rel, hkl
25.89, 53, 1 1 0
30.74, 100, 1 0 3
36.95, 43, 2 0 0
45.65, 10, 1 0 5
48.80, 42, 2 1 3
53.24, 15, 2 2 0
60.13, 19, 3 1 0
62.74, 20, 3 0 3
75.09, 22, 3 2 3
86.77, 11, 4 1 3

Structural model:
```
data_BaSrSi2Pd
_chemical_formula_sum 'Ba2 Sr2 Si4 Pd2'
_space_group_name_H-M_alt 'I 4 m m'
_space_group_IT_number 107
_space_group_name_Hall 'I 4 -2'
_cell_length_a 4.866
_cell_length_b 4.866
_cell_length_c 10.885
_cell_angle_alpha 90.00
_cell_angle_beta 90.00
_cell_angle_gamma 90.00
loop_
_atom_site_label
_atom_site_type_symbol
_atom_site_fract_x
_atom_site_fract_y
_atom_site_fract_z
Ba1 Ba 0.000 0.000 0.000
Sr1 Sr 0.000 0.000 0.395
Si1 Si 0.000 0.500 0.217
Pd1 Pd 0.000 0.000 0.667
```

Starting from a GGA-PBE-relaxed structure, the PXRD pattern of SmTmIn was calculated for Cu Kα X-rays.

Peak list (10 most intense, 2θ from 15° to 90°, in order of rising 2θ)
2theta, I_rel, hkl
32.64, 94, 1 0 2
33.11, 100, 1 1 0
42.80, 10, 1 1 2
47.19, 34, 2 0 2
58.86, 35, 2 1 2
59.15, 19, 3 0 0
65.02, 28, 1 1 4
69.49, 12, 2 2 0
78.91, 15, 3 1 2
84.41, 14, 3 0 4

Structural model:
```
data_SmTmIn
_chemical_formula_sum 'Sm2 Tm2 In2'
_space_group_name_H-M_alt 'P 63/m m c'
_space_group_IT_number 194
_space_group_name_Hall '-P 6c 2c'
_cell_length_a 5.4104
_cell_length_b 5.4104
_cell_length_c 6.7675
_cell_angle_alpha 90.00
_cell_angle_beta 90.00
_cell_angle_gamma 120.00
loop_
_atom_site_label
_atom_site_type_symbol
_atom_site_fract_x
_atom_site_fract_y
_atom_site_fract_z
Sm1 Sm 0.0000 0.0000 0.0000
Tm1 Tm 0.3333 0.6667 0.2500
In1 In 0.3333 0.6667 0.7500
```

Starting from a GGA-PBE-relaxed structure, the PXRD pattern of DyNpBr6 was calculated for Cu Kα X-rays.

Peak list (10 most intense, 2θ from 15° to 90°, in order of rising 2θ)
2theta, I_rel, hkl
16.47, 27, 1 1 -1
24.77, 31, 1 3 0
30.05, 49, 2 0 -2
30.29, 100, 1 3 1
33.11, 17, 2 0 1
42.69, 36, 3 3 -1
42.94, 19, 0 6 0
43.69, 34, 1 3 -3
43.81, 17, 2 0 2
53.29, 18, 2 6 -2

Structural model:
```
data_DyNpBr6
_chemical_formula_sum 'Dy2 Np2 Br12'
_space_group_name_H-M_alt 'C 1 2 1'
_space_group_IT_number 5
_cell_length_a 7.350
_cell_length_b 12.638
_cell_length_c 7.141
_cell_angle_alpha 90.00
_cell_angle_beta 110.43
_cell_angle_gamma 90.00
loop_
_space_group_symop_operation_xyz
'x,y,z'
'-x,y,-z'
'x+1/2,y+1/2,z'
'-x+1/2,y+1/2,-z'
loop_
_atom_site_label
_atom_site_type_symbol
_atom_site_fract_x
_atom_site_fract_y
_atom_site_fract_z
Dy1 Dy 0.000 0.000 0.000
Np1 Np 0.000 0.666 0.000
Br1 Br 0.226 0.837 0.240
Br2 Br 0.232 0.009 0.761
Br3 Br 0.247 0.652 0.761
```

Starting from a GGA-PBE-relaxed structure, the PXRD pattern of DyErGa4Cu2 was calculated for Cu Kα X-rays.

Peak list (10 most intense, 2θ from 15° to 90°, in order of rising 2θ)
2theta, I_rel, hkl
35.62, 100, 2 1 1
36.61, 73, 1 1 3
38.33, 22, 1 0 4
41.87, 32, 0 2 0
44.01, 20, 2 1 3
45.38, 19, 3 0 2
58.06, 13, 1 2 4
63.44, 14, 3 2 2
72.40, 10, 2 3 1
82.28, 11, 5 1 3

Structural model:
```
data_DyErGa4Cu2
_chemical_formula_sum 'Dy2 Er2 Ga8 Cu4'
_space_group_name_H-M_alt 'A m m 2'
_space_group_IT_number 38
_cell_length_a 6.533
_cell_length_b 4.315
_cell_length_c 10.065
_cell_angle_alpha 90.00
_cell_angle_beta 90.00
_cell_angle_gamma 90.00
loop_
_space_group_symop_operation_xyz
'x,y,z'
'-x,-y,z'
'-x,y,z'
'x,-y,z'
'x,y+1/2,z+1/2'
'-x,-y+1/2,z+1/2'
'-x,y+1/2,z+1/2'
'x,-y+1/2,z+1/2'
loop_
_atom_site_label
_atom_site_type_symbol
_atom_site_fract_x
_atom_site_fract_y
_atom_site_fract_z
Dy1 Dy 0.000 0.000 0.000
Er1 Er 0.500 0.000 0.179
Ga1 Ga 0.199 0.000 0.715
Ga2 Ga 0.302 0.000 0.463
Cu1 Cu 0.000 0.000 0.290
Cu2 Cu 0.500 0.000 0.888
```

Starting from a GGA-PBE-relaxed structure, the PXRD pattern of Cu2Ag7 was calculated for Cu Kα X-rays.

Peak list (10 most intense, 2θ from 15° to 90°, in order of rising 2θ)
2theta, I_rel, hkl
38.34, 100, 2 0 3
38.74, 98, 3 1 0
44.46, 65, 1 1 -3
45.48, 29, 6 0 0
64.15, 10, 2 0 -6
65.48, 37, 5 1 3
77.52, 23, 1 1 6
78.28, 23, 2 2 3
79.49, 10, 9 1 0
83.11, 10, 6 2 0

Structural model:
```
data_Cu2Ag7
_chemical_formula_sum 'Cu4 Ag14'
_space_group_name_H-M_alt 'C 1 2/m 1'
_space_group_IT_number 12
_cell_length_a 12.310
_cell_length_b 2.860
_cell_length_c 8.711
_cell_angle_alpha 90.00
_cell_angle_beta 103.54
_cell_angle_gamma 90.00
loop_
_space_group_symop_operation_xyz
'x,y,z'
'-x,-y,-z'
'-x,y,-z'
'x,-y,z'
'x+1/2,y+1/2,z'
'-x+1/2,-y+1/2,-z'
'-x+1/2,y+1/2,-z'
'x+1/2,-y+1/2,z'
loop_
_atom_site_label
_atom_site_type_symbol
_atom_site_fract_x
_atom_site_fract_y
_atom_site_fract_z
Cu1 Cu 0.166 0.000 0.219
Ag1 Ag 0.000 0.500 0.000
Ag2 Ag 0.009 0.500 0.332
Ag3 Ag 0.171 0.000 0.887
Ag4 Ag 0.172 0.000 0.565
```

Starting from a GGA-PBE-relaxed structure, the PXRD pattern of GdTmGe4Os2 was calculated for Cu Kα X-rays.

Peak list (10 most intense, 2θ from 15° to 90°, in order of rising 2θ)
2theta, I_rel, hkl
28.91, 52, 1 1 0
29.08, 96, 1 1 -1
30.03, 59, 0 1 2
32.85, 100, 1 1 1
33.97, 44, 1 0 2
34.67, 86, 1 0 -3
39.26, 89, 0 1 3
40.44, 52, 2 0 -1
40.90, 87, 0 2 0
54.67, 47, 1 2 -3

Structural model:
```
data_GdTmGe4Os2
_chemical_formula_sum 'Gd1 Tm1 Ge4 Os2'
_space_group_name_H-M_alt 'P 1 m 1'
_space_group_IT_number 6
_cell_length_a 4.462
_cell_length_b 4.413
_cell_length_c 8.320
_cell_angle_alpha 90.00
_cell_angle_beta 104.36
_cell_angle_gamma 90.00
loop_
_space_group_symop_operation_xyz
'x,y,z'
'x,-y,z'
loop_
_atom_site_label
_atom_site_type_symbol
_atom_site_fract_x
_atom_site_fract_y
_atom_site_fract_z
Gd1 Gd 0.000 0.000 0.000
Tm1 Tm 0.781 0.500 0.578
Ge1 Ge 0.075 0.500 0.297
Ge2 Ge 0.354 0.000 0.706
Ge3 Ge 0.433 0.500 0.877
Ge4 Ge 0.719 0.000 0.289
Os1 Os 0.289 0.000 0.411
Os2 Os 0.506 0.500 0.174
```

Starting from a GGA-PBE-relaxed structure, the PXRD pattern of Tl11Au8 was calculated for Cu Kα X-rays.

Peak list (10 most intense, 2θ from 15° to 90°, in order of rising 2θ)
2theta, I_rel, hkl
23.13, 41, 0 2 8
29.40, 100, 0 2 11
29.87, 59, 1 3 1
30.19, 67, 1 3 2
30.68, 41, 1 3 3
32.17, 86, 1 3 5
39.16, 44, 1 1 13
41.19, 45, 1 1 14
44.49, 59, 0 6 8
45.33, 57, 2 0 0

Structural model:
```
data_Tl11Au8
_chemical_formula_sum 'Tl44 Au32'
_space_group_name_H-M_alt 'C m c m'
_space_group_IT_number 63
_space_group_name_Hall '-C 2c 2'
_cell_length_a 4.001
_cell_length_b 13.577
_cell_length_c 37.362
_cell_angle_alpha 90.00
_cell_angle_beta 90.00
_cell_angle_gamma 90.00
loop_
_atom_site_label
_atom_site_type_symbol
_atom_site_fract_x
_atom_site_fract_y
_atom_site_fract_z
Tl1 Tl 0.000 0.084 0.070
Tl2 Tl 0.000 0.110 0.706
Tl3 Tl 0.000 0.163 0.250
Tl4 Tl 0.000 0.328 0.109
Tl5 Tl 0.000 0.351 0.015
Tl6 Tl 0.000 0.402 0.666
Au1 Au 0.000 0.000 0.000
Au2 Au 0.000 0.031 0.633
Au3 Au 0.000 0.249 0.181
Au4 Au 0.000 0.258 0.559
Au5 Au 0.000 0.494 0.750
```

Starting from a GGA-PBE-relaxed structure, the PXRD pattern of Zr3Sc2Hg3 was calculated for Cu Kα X-rays.

Peak list (10 most intense, 2θ from 15° to 90°, in order of rising 2θ)
2theta, I_rel, hkl
16.09, 26, 0 0 2
23.81, 35, 1 0 2
32.39, 28, 0 2 2
35.33, 40, 2 0 0
37.02, 100, 1 2 2
37.16, 55, 1 0 4
48.68, 18, 2 2 2
57.97, 18, 0 2 6
64.56, 30, 3 0 4
69.74, 20, 2 2 6

Structural model:
```
data_Zr3Sc2Hg3
_chemical_formula_sum 'Zr6 Sc4 Hg6'
_space_group_name_H-M_alt 'A m m 2'
_space_group_IT_number 38
_cell_length_a 5.081
_cell_length_b 6.393
_cell_length_c 11.006
_cell_angle_alpha 90.00
_cell_angle_beta 90.00
_cell_angle_gamma 90.00
loop_
_space_group_symop_operation_xyz
'x,y,z'
'-x,-y,z'
'-x,y,z'
'x,-y,z'
'x,y+1/2,z+1/2'
'-x,-y+1/2,z+1/2'
'-x,y+1/2,z+1/2'
'x,-y+1/2,z+1/2'
loop_
_atom_site_label
_atom_site_type_symbol
_atom_site_fract_x
_atom_site_fract_y
_atom_site_fract_z
Zr1 Zr 0.000 0.000 0.000
Zr2 Zr 0.500 0.228 0.073
Sc1 Sc 0.000 0.000 0.487
Sc2 Sc 0.500 0.000 0.820
Hg1 Hg 0.000 0.237 0.739
Hg2 Hg 0.500 0.000 0.334
```